# Pa4Si6Ir7
Theoretical X-ray diffraction stick pattern, λ = 1.5418 Å (Cu Kα). Input: a structure optimized by DFT (PBE).

Main lines, sorted by position (2θ from 10° to 90°):
| 2θ (°) | I_rel |
| --- | --- |
| 15.01 | 11.3 |
| 26.15 | 44.7 |
| 30.29 | 32.6 |
| 37.32 | 100.0 |
| 40.43 | 39.3 |
| 43.36 | 70.1 |
| 51.34 | 12.8 |
| 53.81 | 11.3 |
| 63.00 | 44.7 |
| 69.41 | 11.7 |
| 75.56 | 36.5 |
| 79.57 | 14.7 |

Structure:
a b c (Å): 7.229 7.229 7.229
angles (deg): 109.47 109.47 109.47
Atoms (fractional coordinates):
Pa 0.000 0.000 0.500
Pa 0.000 0.500 0.000
Pa 0.500 0.000 0.000
Pa 0.500 0.500 0.500
Si 0.000 0.318 0.318
Si 0.000 0.682 0.682
Si 0.318 0.000 0.318
Si 0.318 0.318 0.000
Si 0.682 0.000 0.682
Si 0.682 0.682 0.000
Ir 0.000 0.000 0.000
Ir 0.250 0.500 0.750
Ir 0.250 0.750 0.500
Ir 0.500 0.250 0.750
Ir 0.500 0.750 0.250
Ir 0.750 0.250 0.500
Ir 0.750 0.500 0.250